1.
Starting from the GGA-PBE geometry in Alexandria, the X-ray diffraction stick pattern of Na2Ni3S4 was computed for CuKα.
Intensities are scaled so that the largest is 100.

Structural model:
abc: 7.751 6.504 5.768
angles: 78.07 55.19 46.73
Element x y z (fractional)
1 Na 0.150 0.150 0.850
2 Na 0.850 0.850 0.150
3 Ni 0.000 0.000 0.500
4 Ni 0.500 0.500 0.000
5 Ni 0.500 0.500 0.500
6 S 0.214 0.536 0.464
7 S 0.464 0.786 0.214
8 S 0.536 0.214 0.786
9 S 0.786 0.464 0.536

Largest 6 diffraction maxima, by angle, 2θ = 10–90°:
2θ = 15.07°, d = 5.878 Å, I = 100.0; 2θ = 19.71°, d = 4.505 Å, I = 52.7; 2θ = 36.86°, d = 2.439 Å, I = 22.8; 2θ = 38.79°, d = 2.321 Å, I = 64.0; 2θ = 40.03°, d = 2.252 Å, I = 33.3; 2θ = 48.51°, d = 1.877 Å, I = 28.2

---

2.
Starting from the GGA-PBE geometry in Alexandria, the X-ray diffraction stick pattern of BeReF was computed for CuKα.
Intensities are scaled so that the largest is 100.

Structural model:
abc: 2.617 2.617 7.222
angles: 87.51 79.86 60.01
Element x y z (fractional)
1 Be 0.000 0.000 0.000
2 Re 0.830 0.623 0.703
3 F 0.263 0.355 0.122

Largest 6 diffraction maxima, by angle, 2θ = 10–90°:
2θ = 12.47°, d = 7.099 Å, I = 100.0; 2θ = 25.09°, d = 3.550 Å, I = 27.6; 2θ = 38.02°, d = 2.366 Å, I = 9.2; 2θ = 39.82°, d = 2.264 Å, I = 7.2; 2θ = 40.14°, d = 2.247 Å, I = 16.0; 2θ = 40.48°, d = 2.228 Å, I = 12.7

---

3.
Starting from the GGA-PBE geometry in Alexandria, the X-ray diffraction stick pattern of Ac2BiAsPd6 was computed for CuKα.
Intensities are scaled so that the largest is 100.

Structural model:
abc: 5.611 6.734 7.246
angles: 77.87 67.25 65.44
Element x y z (fractional)
1 Ac 0.245 0.279 0.230
2 Ac 0.755 0.721 0.770
3 Bi 0.000 0.000 0.000
4 As 0.500 0.500 0.500
5 Pd 0.250 0.269 0.738
6 Pd 0.253 0.906 0.588
7 Pd 0.256 0.731 0.263
8 Pd 0.744 0.269 0.737
9 Pd 0.747 0.094 0.412
10 Pd 0.750 0.731 0.262

Largest 6 diffraction maxima, by angle, 2θ = 10–90°:
2θ = 26.26°, d = 3.393 Å, I = 90.7; 2θ = 27.55°, d = 3.237 Å, I = 75.0; 2θ = 38.09°, d = 2.362 Å, I = 100.0; 2θ = 38.46°, d = 2.341 Å, I = 73.6; 2θ = 38.77°, d = 2.323 Å, I = 82.7; 2θ = 41.20°, d = 2.191 Å, I = 87.7

---

4.
Starting from the GGA-PBE geometry in Alexandria, the X-ray diffraction stick pattern of Sm8Er5Th was computed for CuKα.
Intensities are scaled so that the largest is 100.

Structural model:
abc: 8.499 8.499 8.499
angles: 111.00 111.00 106.45
Element x y z (fractional)
1 Sm 0.179 0.406 0.582
2 Sm 0.328 0.223 0.239
3 Sm 0.403 0.821 0.227
4 Sm 0.594 0.176 0.773
5 Sm 0.777 0.015 0.105
6 Sm 0.824 0.597 0.418
7 Sm 0.910 0.672 0.895
8 Sm 0.985 0.090 0.761
9 Er 0.062 0.470 0.186
10 Er 0.124 0.938 0.408
11 Er 0.285 0.876 0.814
12 Er 0.530 0.715 0.592
13 Er 0.750 0.250 0.500
14 Th 0.500 0.500 0.000

Largest 6 diffraction maxima, by angle, 2θ = 10–90°:
2θ = 27.89°, d = 3.199 Å, I = 70.8; 2θ = 29.18°, d = 3.061 Å, I = 78.4; 2θ = 29.34°, d = 3.045 Å, I = 79.8; 2θ = 33.64°, d = 2.665 Å, I = 100.0; 2θ = 34.32°, d = 2.613 Å, I = 55.4; 2θ = 34.73°, d = 2.583 Å, I = 57.6